(1)
The following is a simulated powder XRD pattern of Sm3AlTl3Se8. It was derived from DFT lattice parameters and positions (PBE), using Cu Ka.
Intensities are scaled so that the largest is 100.

Largest 8 diffraction maxima, by angle, 10° ≤ 2θ ≤ 80°:
Position (°2θ)  d/Å  intensity
14.5  6.117  18
25.8  3.451  11
29.2  3.058  100
40.2  2.244  35
43.3  2.090  35
53.1  1.725  18
60.5  1.529  10
70.8  1.330  16

Atomic structure:
Cell: 8.3586 8.3586 9.0324 Å, 117.65 117.65 59.99°
Positions (direct):
Sm (0.0000, 0.0000, 0.0000)
Sm (0.0000, 0.5000, 0.0000)
Sm (0.5000, 0.0000, 0.0000)
Al (0.5000, 0.5000, 0.0000)
Tl (0.0000, 0.5000, 0.5000)
Tl (0.5000, 0.0000, 0.5000)
Tl (0.5000, 0.5000, 0.5000)
Se (0.2380, 0.2380, 0.2137)
Se (0.2638, 0.7161, 0.1959)
Se (0.2840, 0.2840, 0.8041)
Se (0.2839, 0.7362, 0.8041)
Se (0.7161, 0.2638, 0.1959)
Se (0.7160, 0.7160, 0.1959)
Se (0.7362, 0.2839, 0.8041)
Se (0.7620, 0.7620, 0.7863)

=====

(2)
The following is a simulated powder XRD pattern of Al4SnSe7. It was derived from DFT lattice parameters and positions (PBE), using Cu Ka.
Intensities are scaled so that the largest is 100.

Largest 8 diffraction maxima, by angle, 10° ≤ 2θ ≤ 80°:
Position (°2θ)  d/Å  intensity
26.3  3.392  72
28.1  3.174  60
29.9  2.990  100
38.9  2.317  38
46.3  1.960  21
46.4  1.956  22
50.9  1.795  44
55.1  1.666  37

Atomic structure:
Cell: 15.6796 6.7715 6.3470 Å, 90.00 90.00 90.00°
Positions (direct):
Al (0.1243, 0.1601, 0.0000)
Al (0.2461, 0.6802, 0.9911)
Al (0.2539, 0.3198, 0.4911)
Al (0.3757, 0.8399, 0.5000)
Al (0.6243, 0.8399, 0.5000)
Al (0.7461, 0.3198, 0.4911)
Al (0.7539, 0.6802, 0.9911)
Al (0.8757, 0.1601, 0.0000)
Sn (0.0000, 0.4641, 0.4618)
Sn (0.5000, 0.5359, 0.9618)
Se (0.0000, 0.3555, 0.9032)
Se (0.1204, 0.1673, 0.3861)
Se (0.1203, 0.8329, 0.8744)
Se (0.2467, 0.6666, 0.3801)
Se (0.2533, 0.3334, 0.8801)
Se (0.3797, 0.1671, 0.3744)
Se (0.3796, 0.8327, 0.8861)
Se (0.5000, 0.6445, 0.4032)
Se (0.6203, 0.1671, 0.3744)
Se (0.6204, 0.8327, 0.8861)
Se (0.7467, 0.3334, 0.8801)
Se (0.7533, 0.6666, 0.3801)
Se (0.8796, 0.1673, 0.3861)
Se (0.8797, 0.8329, 0.8744)

=====

(3)
The following is a simulated powder XRD pattern of Sr2AlSnSe5. It was derived from DFT lattice parameters and positions (PBE), using Cu Ka.
Intensities are scaled so that the largest is 100.

Largest 8 diffraction maxima, by angle, 10° ≤ 2θ ≤ 80°:
Position (°2θ)  d/Å  intensity
29.6  3.017  57
30.4  2.942  100
35.4  2.533  47
43.0  2.106  17
44.4  2.039  22
45.3  2.000  10
49.5  1.841  18
54.3  1.689  16

Atomic structure:
Cell: 9.5162 9.5162 13.0947 Å, 90.00 90.00 155.26°
Positions (direct):
Sr (0.1118, 0.8882, 0.5000)
Sr (0.1250, 0.8750, 0.1473)
Sr (0.8750, 0.1250, 0.6473)
Sr (0.8882, 0.1118, 0.0000)
Al (0.4438, 0.5562, 0.2459)
Al (0.5562, 0.4438, 0.7459)
Sn (0.2088, 0.7912, 0.8543)
Sn (0.7912, 0.2088, 0.3543)
Se (0.0352, 0.9648, 0.8484)
Se (0.2840, 0.7160, 0.5039)
Se (0.3182, 0.6818, 0.1937)
Se (0.3534, 0.6466, 0.8264)
Se (0.4955, 0.5045, 0.5871)
Se (0.5045, 0.4955, 0.0871)
Se (0.6466, 0.3534, 0.3264)
Se (0.6818, 0.3182, 0.6937)
Se (0.7160, 0.2840, 0.0039)
Se (0.9648, 0.0352, 0.3484)

=====

(4)
The following is a simulated powder XRD pattern of AlTl2SnSe4. It was derived from DFT lattice parameters and positions (PBE), using Cu Ka.
Intensities are scaled so that the largest is 100.

Largest 8 diffraction maxima, by angle, 10° ≤ 2θ ≤ 80°:
Position (°2θ)  d/Å  intensity
25.2  3.532  25
26.7  3.343  19
27.1  3.295  100
31.8  2.812  39
37.6  2.395  23
39.9  2.261  16
41.0  2.203  24
43.5  2.081  22

Atomic structure:
Cell: 6.6121 6.6121 7.1013 Å, 116.35 116.35 86.70°
Positions (direct):
Al (0.0000, 0.0000, 0.0000)
Tl (0.1812, 0.8188, 0.5000)
Tl (0.4496, 0.5504, 0.0000)
Sn (0.7088, 0.2912, 0.5000)
Se (0.0566, 0.2859, 0.3918)
Se (0.3712, 0.0668, 0.0261)
Se (0.7141, 0.9434, 0.6082)
Se (0.9332, 0.6288, 0.9739)

=====

(5)
The following is a simulated powder XRD pattern of Ta2AlSe. It was derived from DFT lattice parameters and positions (PBE), using Cu Ka.
Intensities are scaled so that the largest is 100.

Largest 8 diffraction maxima, by angle, 10° ≤ 2θ ≤ 80°:
Position (°2θ)  d/Å  intensity
18.0  4.921  58
25.8  3.447  40
30.8  2.905  32
36.1  2.489  100
37.2  2.415  54
40.4  2.234  31
40.5  2.226  30
41.2  2.192  72

Atomic structure:
Cell: 3.0403 4.8295 5.1450 Å, 90.00 106.98 90.00°
Positions (direct):
Ta (0.0000, 0.0000, 0.0000)
Ta (0.3597, 0.5000, 0.7277)
Al (0.6271, 0.5000, 0.2524)
Se (0.2828, 0.0000, 0.5607)

=====

(6)
The following is a simulated powder XRD pattern of TaAlSe4. It was derived from DFT lattice parameters and positions (PBE), using Cu Ka.
Intensities are scaled so that the largest is 100.

Largest 8 diffraction maxima, by angle, 10° ≤ 2θ ≤ 80°:
Position (°2θ)  d/Å  intensity
17.2  5.168  76
27.2  3.275  100
29.7  3.004  16
34.8  2.579  30
42.8  2.113  15
43.0  2.102  27
46.3  1.962  44
51.7  1.769  33

Atomic structure:
Cell: 6.7045 6.7045 6.7045 Å, 127.35 127.35 77.68°
Positions (direct):
Ta (0.0000, 0.0000, 0.0000)
Al (0.2500, 0.7500, 0.5000)
Se (0.1251, 0.6392, 0.0140)
Se (0.3608, 0.3748, 0.4859)
Se (0.6252, 0.1111, 0.9860)
Se (0.8889, 0.8749, 0.5141)

=====

(7)
The following is a simulated powder XRD pattern of TbAl2Se4. It was derived from DFT lattice parameters and positions (PBE), using Cu Ka.
Intensities are scaled so that the largest is 100.

Largest 8 diffraction maxima, by angle, 10° ≤ 2θ ≤ 80°:
Position (°2θ)  d/Å  intensity
18.0  4.936  45
28.0  3.188  30
29.2  3.060  100
32.5  2.758  27
36.4  2.467  24
46.6  1.951  45
50.3  1.814  42
66.1  1.413  18

Atomic structure:
Cell: 6.3703 6.3703 6.3703 Å, 104.50 104.50 119.95°
Positions (direct):
Tb (0.0000, 0.0000, 0.0000)
Al (0.2500, 0.7500, 0.5000)
Al (0.7500, 0.2500, 0.5000)
Se (0.1687, 0.6645, 0.8333)
Se (0.3355, 0.1687, 0.5042)
Se (0.6645, 0.8313, 0.4958)
Se (0.8313, 0.3355, 0.1667)

=====

(8)
The following is a simulated powder XRD pattern of Ti3AlSe. It was derived from DFT lattice parameters and positions (PBE), using Cu Ka.
Intensities are scaled so that the largest is 100.

Largest 8 diffraction maxima, by angle, 10° ≤ 2θ ≤ 80°:
Position (°2θ)  d/Å  intensity
20.1  4.420  24
20.6  4.317  97
30.0  2.982  51
39.3  2.292  75
40.9  2.204  96
41.7  2.168  100
42.3  2.136  33
45.8  1.983  55

Atomic structure:
Cell: 6.8298 6.8298 6.6229 Å, 94.46 94.46 39.22°
Positions (direct):
Ti (0.0275, 0.0275, 0.2002)
Ti (0.1969, 0.1969, 0.9325)
Ti (0.2826, 0.2826, 0.3347)
Ti (0.7174, 0.7174, 0.6653)
Ti (0.8031, 0.8031, 0.0675)
Ti (0.9725, 0.9725, 0.7998)
Al (0.4033, 0.4033, 0.9979)
Al (0.5967, 0.5967, 0.0021)
Se (0.1312, 0.1312, 0.5559)
Se (0.8688, 0.8688, 0.4441)

=====

(9)
The following is a simulated powder XRD pattern of Ti2AlSe4. It was derived from DFT lattice parameters and positions (PBE), using Cu Ka.
Intensities are scaled so that the largest is 100.

Largest 8 diffraction maxima, by angle, 10° ≤ 2θ ≤ 80°:
Position (°2θ)  d/Å  intensity
14.3  6.203  15
27.5  3.239  18
28.8  3.102  65
33.4  2.686  100
47.9  1.899  90
56.8  1.620  28
59.6  1.551  23
79.8  1.201  28

Atomic structure:
Cell: 7.5972 7.5972 7.5972 Å, 60.00 60.00 60.00°
Positions (direct):
Ti (0.0000, 0.0000, 0.0000)
Ti (0.0000, 0.0000, 0.5000)
Ti (0.0000, 0.5000, 0.0000)
Ti (0.5000, 0.0000, 0.0000)
Al (0.3750, 0.3750, 0.3750)
Al (0.6250, 0.6250, 0.6250)
Se (0.2345, 0.7552, 0.7552)
Se (0.2448, 0.2448, 0.2448)
Se (0.2448, 0.2448, 0.7655)
Se (0.2448, 0.7655, 0.2448)
Se (0.7552, 0.2345, 0.7552)
Se (0.7552, 0.7552, 0.2345)
Se (0.7552, 0.7552, 0.7552)
Se (0.7655, 0.2448, 0.2448)

=====

(10)
The following is a simulated powder XRD pattern of Al2Tl14Se9. It was derived from DFT lattice parameters and positions (PBE), using Cu Ka.
Intensities are scaled so that the largest is 100.

Largest 8 diffraction maxima, by angle, 10° ≤ 2θ ≤ 80°:
Position (°2θ)  d/Å  intensity
25.2  3.533  100
29.5  3.029  48
30.6  2.919  58
31.2  2.864  23
33.5  2.671  47
34.6  2.593  28
38.2  2.355  23
38.6  2.330  46

Atomic structure:
Cell: 9.2533 9.2533 10.9417 Å, 90.00 90.00 120.00°
Positions (direct):
Al (0.3333, 0.6667, 0.3015)
Al (0.6667, 0.3333, 0.6985)
Tl (0.0000, 0.0000, 0.2863)
Tl (0.0000, 0.0000, 0.7137)
Tl (0.0181, 0.6724, 0.9008)
Tl (0.1066, 0.4298, 0.6461)
Tl (0.3232, 0.8934, 0.6461)
Tl (0.3276, 0.3456, 0.9008)
Tl (0.3456, 0.0181, 0.0992)
Tl (0.4298, 0.3232, 0.3539)
Tl (0.5702, 0.6768, 0.6461)
Tl (0.6544, 0.9819, 0.9008)
Tl (0.6724, 0.6544, 0.0992)
Tl (0.6768, 0.1066, 0.3539)
Tl (0.8934, 0.5702, 0.3539)
Tl (0.9819, 0.3276, 0.0992)
Se (0.0000, 0.0000, 0.0000)
Se (0.1235, 0.3934, 0.3744)
Se (0.2699, 0.8765, 0.3744)
Se (0.3333, 0.6667, 0.0798)
Se (0.3934, 0.2699, 0.6256)
Se (0.6066, 0.7301, 0.3744)
Se (0.6667, 0.3333, 0.9202)
Se (0.7301, 0.1235, 0.6256)
Se (0.8765, 0.6066, 0.6256)

=====

(11)
The following is a simulated powder XRD pattern of AlTlSe2. It was derived from DFT lattice parameters and positions (PBE), using Cu Ka.
Intensities are scaled so that the largest is 100.

Largest 8 diffraction maxima, by angle, 10° ≤ 2θ ≤ 80°:
Position (°2θ)  d/Å  intensity
15.2  5.843  66
21.5  4.131  56
27.8  3.205  68
30.6  2.921  55
31.7  2.818  78
34.3  2.613  87
35.4  2.539  100
52.7  1.738  44

Atomic structure:
Cell: 6.6701 6.6701 6.6701 Å, 103.46 103.46 122.32°
Positions (direct):
Al (0.2500, 0.7500, 0.5000)
Al (0.7500, 0.2500, 0.5000)
Tl (0.2500, 0.2500, 0.0000)
Tl (0.7500, 0.7500, 0.0000)
Se (0.1569, 0.6569, 0.8137)
Se (0.3431, 0.1569, 0.5000)
Se (0.6569, 0.8431, 0.5000)
Se (0.8431, 0.3431, 0.1863)

=====

(12)
The following is a simulated powder XRD pattern of Al4TlSe7. It was derived from DFT lattice parameters and positions (PBE), using Cu Ka.
Intensities are scaled so that the largest is 100.

Largest 8 diffraction maxima, by angle, 10° ≤ 2θ ≤ 80°:
Position (°2θ)  d/Å  intensity
26.1  3.416  39
28.3  3.157  40
29.7  3.005  100
30.4  2.939  51
45.5  1.992  18
46.9  1.935  25
51.0  1.792  23
55.7  1.650  19

Atomic structure:
Cell: 15.9334 6.6428 6.3131 Å, 90.00 90.00 90.00°
Positions (direct):
Al (0.1210, 0.1611, 0.0000)
Al (0.2492, 0.6746, 0.9841)
Al (0.2508, 0.3254, 0.4841)
Al (0.3790, 0.8389, 0.5000)
Al (0.6210, 0.8389, 0.5000)
Al (0.7492, 0.3254, 0.4841)
Al (0.7508, 0.6746, 0.9841)
Al (0.8790, 0.1611, 0.0000)
Tl (0.0000, 0.6228, 0.2914)
Tl (0.5000, 0.3772, 0.7914)
Se (0.0000, 0.3347, 0.8616)
Se (0.1173, 0.1975, 0.3787)
Se (0.1181, 0.8183, 0.8828)
Se (0.2486, 0.6797, 0.3757)
Se (0.2514, 0.3203, 0.8757)
Se (0.3819, 0.1817, 0.3828)
Se (0.3827, 0.8025, 0.8787)
Se (0.5000, 0.6653, 0.3616)
Se (0.6173, 0.8025, 0.8787)
Se (0.6181, 0.1817, 0.3828)
Se (0.7486, 0.3203, 0.8757)
Se (0.7514, 0.6797, 0.3757)
Se (0.8819, 0.8183, 0.8828)
Se (0.8827, 0.1975, 0.3787)